1.
This entry pairs a crystal structure of CeYSe2O with its simulated PXRD pattern. Radiation: a wavelength of 1.5418 Å. Structure: a cell relaxed with PBE.
Neutral-atom scattering factors, no anomalous dispersion.

Main lines, in order of rising 2θ (5 to 70 degrees two-theta):
| two_theta | d_spacing | Rel. int. |
| --- | --- | --- |
| 24.82 | 3.587 | 257 |
| 25.41 | 3.506 | 185 |
| 29.02 | 3.077 | 585 |
| 31.49 | 2.841 | 1000 |
| 33.49 | 2.676 | 291 |
| 38.55 | 2.335 | 180 |
| 40.50 | 2.227 | 378 |
| 45.13 | 2.009 | 430 |
| 49.84 | 1.830 | 164 |
| 54.55 | 1.682 | 199 |

Unit cell a=4.018 b=4.018 c=14.350 alpha=90.00 beta=90.00 gamma=90.00
Fractional positions:
Ce  0.250  0.250  0.086
Ce  0.750  0.750  0.914
Y  0.250  0.250  0.618
Y  0.750  0.750  0.382
Se  0.250  0.250  0.407
Se  0.250  0.250  0.809
Se  0.750  0.750  0.191
Se  0.750  0.750  0.593
O  0.250  0.750  0.000
O  0.750  0.250  0.000

2.
This entry pairs a crystal structure of CeSiO4 with its simulated PXRD pattern. Radiation: a wavelength of 1.5418 Å. Structure: a cell relaxed with PBE.
Neutral-atom scattering factors, no anomalous dispersion.

Main lines, in order of rising 2θ (5 to 70 degrees two-theta):
| two_theta | d_spacing | Rel. int. |
| --- | --- | --- |
| 19.09 | 4.648 | 268 |
| 23.01 | 3.866 | 273 |
| 30.07 | 2.972 | 1000 |
| 32.76 | 2.734 | 255 |
| 38.19 | 2.356 | 235 |
| 45.54 | 1.992 | 177 |
| 47.01 | 1.933 | 163 |
| 51.62 | 1.771 | 284 |
| 52.96 | 1.729 | 139 |
| 56.82 | 1.620 | 306 |

Unit cell a=5.467 b=5.467 c=4.648 alpha=90.00 beta=90.00 gamma=90.00
Fractional positions:
Ce  0.250  0.250  0.000
Ce  0.750  0.750  0.000
Si  0.250  0.750  0.500
Si  0.750  0.250  0.500
O  0.086  0.586  0.266
O  0.086  0.914  0.734
O  0.414  0.586  0.734
O  0.414  0.914  0.266
O  0.586  0.086  0.734
O  0.586  0.414  0.266
O  0.914  0.086  0.266
O  0.914  0.414  0.734

3.
This entry pairs a crystal structure of Ce10Si8O3 with its simulated PXRD pattern. Radiation: a wavelength of 1.5418 Å. Structure: a cell relaxed with PBE.
Neutral-atom scattering factors, no anomalous dispersion.

Main lines, in order of rising 2θ (5 to 70 degrees two-theta):
| two_theta | d_spacing | Rel. int. |
| --- | --- | --- |
| 25.61 | 3.478 | 169 |
| 27.72 | 3.219 | 240 |
| 32.53 | 2.753 | 1000 |
| 33.74 | 2.656 | 200 |
| 39.16 | 2.300 | 191 |
| 40.03 | 2.252 | 182 |
| 53.81 | 1.704 | 125 |
| 55.78 | 1.648 | 161 |
| 57.25 | 1.609 | 123 |
| 68.01 | 1.378 | 118 |

Unit cell a=10.625 b=10.625 c=4.504 alpha=90.00 beta=90.00 gamma=120.00
Fractional positions:
Ce  0.000  0.000  0.000
Ce  0.000  0.500  0.500
Ce  0.212  0.424  0.000
Ce  0.212  0.788  0.000
Ce  0.424  0.212  0.000
Ce  0.500  0.000  0.500
Ce  0.500  0.500  0.500
Ce  0.576  0.788  0.000
Ce  0.788  0.212  0.000
Ce  0.788  0.576  0.000
Si  0.000  0.222  0.500
Si  0.000  0.778  0.500
Si  0.222  0.000  0.500
Si  0.222  0.222  0.500
Si  0.333  0.667  0.500
Si  0.667  0.333  0.500
Si  0.778  0.000  0.500
Si  0.778  0.778  0.500
O  0.000  0.500  0.000
O  0.500  0.000  0.000
O  0.500  0.500  0.000

4.
This entry pairs a crystal structure of SrCeSi2O6 with its simulated PXRD pattern. Radiation: a wavelength of 1.5418 Å. Structure: a cell relaxed with PBE.
Neutral-atom scattering factors, no anomalous dispersion.

Main lines, in order of rising 2θ (5 to 70 degrees two-theta):
| two_theta | d_spacing | Rel. int. |
| --- | --- | --- |
| 15.15 | 5.849 | 370 |
| 20.98 | 4.234 | 328 |
| 25.56 | 3.485 | 366 |
| 25.95 | 3.434 | 989 |
| 28.89 | 3.091 | 1000 |
| 29.39 | 3.039 | 680 |
| 32.85 | 2.727 | 287 |
| 43.08 | 2.100 | 242 |
| 44.34 | 2.043 | 251 |
| 44.83 | 2.022 | 448 |

Unit cell a=6.545 b=6.545 c=7.347 alpha=101.72 beta=101.72 gamma=110.52
Fractional positions:
Sr  0.219  0.781  0.750
Sr  0.781  0.219  0.250
Ce  0.404  0.596  0.250
Ce  0.596  0.404  0.750
Si  0.066  0.240  0.735
Si  0.240  0.066  0.235
Si  0.760  0.934  0.765
Si  0.934  0.760  0.265
O  0.094  0.640  0.366
O  0.133  0.225  0.133
O  0.225  0.133  0.633
O  0.287  0.472  0.898
O  0.360  0.906  0.134
O  0.472  0.287  0.398
O  0.528  0.713  0.602
O  0.640  0.094  0.866
O  0.713  0.528  0.102
O  0.775  0.867  0.367
O  0.867  0.775  0.867
O  0.906  0.360  0.634

5.
This entry pairs a crystal structure of Ce4SmO10 with its simulated PXRD pattern. Radiation: a wavelength of 1.5418 Å. Structure: a cell relaxed with PBE.
Neutral-atom scattering factors, no anomalous dispersion.

Main lines, in order of rising 2θ (5 to 70 degrees two-theta):
| two_theta | d_spacing | Rel. int. |
| --- | --- | --- |
| 28.17 | 3.167 | 1000 |
| 32.65 | 2.743 | 294 |
| 46.84 | 1.940 | 546 |
| 55.54 | 1.655 | 336 |
| 55.62 | 1.652 | 112 |
| 58.22 | 1.585 | 64 |
| 58.37 | 1.581 | 21 |
| 68.40 | 1.372 | 82 |

Unit cell a=15.968 b=15.968 c=15.968 alpha=13.97 beta=13.97 gamma=13.97
Fractional positions:
Ce  0.100  0.100  0.100
Ce  0.300  0.300  0.300
Ce  0.700  0.700  0.700
Ce  0.900  0.900  0.900
Sm  0.500  0.500  0.500
O  0.049  0.049  0.049
O  0.148  0.148  0.148
O  0.251  0.251  0.251
O  0.350  0.350  0.350
O  0.448  0.448  0.448
O  0.552  0.552  0.552
O  0.650  0.650  0.650
O  0.749  0.749  0.749
O  0.852  0.852  0.852
O  0.951  0.951  0.951